# 1
For Rb3CaSi2O6, a crystal structure in Alexandria, relaxed with PBE gives the computed powder diffractogram in this record (CuKα).

Main lines, by angle (2θ = 10–80°):
hkl, 2θ (°), I/Imax
1 0 1, 20.6, 31
0 1 2, 29.0, 100
1 1 0, 29.6, 94
0 2 1, 36.3, 38
2 0 2, 41.9, 53
1 2 2, 52.1, 31
1 1 4, 57.1, 24
2 2 0, 61.3, 19

Structural model:
abc: 6.0446 6.0446 7.6222
angles: 90.00 90.00 120.00
Element x y z (fractional)
Rb 0.0000 0.0000 0.0000
Rb 0.3333 0.6667 0.7244
Rb 0.6667 0.3333 0.2756
Ca 0.0000 0.0000 0.5000
Si 0.3333 0.6667 0.2820
Si 0.6667 0.3333 0.7180
O 0.1812 0.3625 0.3080
O 0.1812 0.8188 0.3080
O 0.3625 0.1812 0.6920
O 0.6375 0.8188 0.3080
O 0.8188 0.1812 0.6920
O 0.8188 0.6375 0.6920



# 2
For Rb2CaTcO6, a crystal structure in Alexandria, relaxed with PBE gives the computed powder diffractogram in this record (CuKα).

Main lines, by angle (2θ = 10–80°):
hkl, 2θ (°), I/Imax
0 0 1, 15.0, 78
1 0 0, 15.9, 47
1 0 1, 21.9, 34
1 1 0, 27.7, 100
1 1 1, 31.6, 48
1 0 2, 34.4, 42
2 0 1, 35.6, 38
0 2 2, 44.7, 42

Structural model:
abc: 6.4456 6.4456 5.8965
angles: 90.00 90.00 120.00
Element x y z (fractional)
Rb 0.3333 0.6667 0.3727
Rb 0.6667 0.3333 0.6273
Ca 0.0000 0.0000 0.0000
Tc 0.0000 0.0000 0.5000
O 0.1361 0.2721 0.6936
O 0.1361 0.8639 0.6936
O 0.2721 0.1361 0.3064
O 0.7279 0.8639 0.6936
O 0.8639 0.1361 0.3064
O 0.8639 0.7279 0.3064



Copy entry 2 word for word.
For Rb2CaTcO6, a crystal structure in Alexandria, relaxed with PBE gives the computed powder diffractogram in this record (CuKα).

Main lines, by angle (2θ = 10–80°):
hkl, 2θ (°), I/Imax
0 0 1, 15.0, 78
1 0 0, 15.9, 47
1 0 1, 21.9, 34
1 1 0, 27.7, 100
1 1 1, 31.6, 48
1 0 2, 34.4, 42
2 0 1, 35.6, 38
0 2 2, 44.7, 42

Structural model:
abc: 6.4456 6.4456 5.8965
angles: 90.00 90.00 120.00
Element x y z (fractional)
Rb 0.3333 0.6667 0.3727
Rb 0.6667 0.3333 0.6273
Ca 0.0000 0.0000 0.0000
Tc 0.0000 0.0000 0.5000
O 0.1361 0.2721 0.6936
O 0.1361 0.8639 0.6936
O 0.2721 0.1361 0.3064
O 0.7279 0.8639 0.6936
O 0.8639 0.1361 0.3064
O 0.8639 0.7279 0.3064